Structure and calculated PXRD pattern of LiV2H4O2F10 (DFT lattice parameters and positions (GGA+U); Cu Kα (weighted mean of Kα1 and Kα2)).
Neutral-atom scattering factors, no anomalous dispersion.

Largest 10 diffraction maxima, low angle first, 2θ from 5° to 70°:
hkl  2θ (°)  d/Å  I/Imax
0 1 0  16.49  5.377  13
0 1 1  19.51  4.550  47
1 0 1  20.08  4.421  38
1 1 0  20.22  4.391  100
1 0 -1  20.41  4.350  32
0 0 2  22.22  4.001  40
1 -1 0  26.78  3.329  29
0 1 -3  38.27  2.352  11
-2 1 1  43.81  2.066  20
1 2 -3  49.09  1.856  16

Atomic structure:
Cell: 5.4501 5.5936 8.0124 Å, 87.29 88.29 74.18°
Space group P1 (No. 1)
Unique sites:
Li  0.0000  0.0000  0.0000 [1 per cell]
V  0.4656  0.8686  0.7893 [1 per cell]
V  0.9673  0.4655  0.2916 [1 per cell]
H  0.5175  0.7395  0.1982 [1 per cell]
H  0.5505  0.7814  0.4018 [1 per cell]
H  0.7858  0.4133  0.7218 [1 per cell]
H  0.9609  0.5827  0.7661 [1 per cell]
O  0.5998  0.6644  0.3067 [1 per cell]
O  0.7888  0.5602  0.7824 [1 per cell]
F  0.0433  0.6844  0.4205 [1 per cell]
F  0.1724  0.1290  0.8035 [1 per cell]
F  0.2872  0.2908  0.2640 [1 per cell]
F  0.2939  0.6393  0.7547 [1 per cell]
F  0.3938  0.8302  0.0273 [1 per cell]
F  0.5016  0.9353  0.5605 [1 per cell]
F  0.7030  0.0266  0.8465 [1 per cell]
F  0.8600  0.2608  0.1547 [1 per cell]
F  0.8995  0.2927  0.4713 [1 per cell]
F  0.9779  0.6720  0.1081 [1 per cell]